[1]
Simulated powder diffraction line list
Compound: Ho2TmZn3Ir2Au
Radiation: Cu Kα (weighted mean of Kα1 and Kα2)
Structure: DFT lattice parameters and positions (GGA-PBE)
No peak broadening, texture or thermal motion is included.

Structure:
```
Ho2TmZn3Ir2Au
1.0
3.809 0.000 0.000
0.000 6.283 3.635
0.000 -6.283 3.635
Ho Tm Zn Ir Au
2 1 3 2 1
Direct
0.000 0.205 0.795
0.000 0.795 0.205
0.000 0.615 0.615
0.500 0.205 0.471
0.500 0.471 0.205
0.500 0.939 0.939
0.500 0.539 0.870
0.500 0.870 0.539
0.000 0.207 0.207
```

The 12 most intense peaks (2θ = 15–90°), by angle:
24.5 deg, rel. 27; 27.4 deg, rel. 18; 34.1 deg, rel. 70; 37.1 deg, rel. 100; 37.8 deg, rel. 21; 43.1 deg, rel. 45; 44.9 deg, rel. 34; 47.8 deg, rel. 23; 50.3 deg, rel. 11; 58.2 deg, rel. 13; 66.3 deg, rel. 25; 69.7 deg, rel. 20


[2]
Simulated powder diffraction line list
Compound: K2Ho4Au4S9
Radiation: Cu Kα (weighted mean of Kα1 and Kα2)
Structure: DFT lattice parameters and positions (GGA-PBE)
No peak broadening, texture or thermal motion is included.

Structure:
```
K2Ho4Au4S9
1.0
7.053 -2.030 0.000
7.053 2.030 0.000
-4.841 0.000 15.680
K Ho Au S
2 4 4 9
Direct
0.048 0.048 0.279
0.952 0.952 0.721
0.250 0.250 0.118
0.351 0.351 0.442
0.649 0.649 0.558
0.750 0.750 0.882
0.236 0.236 0.724
0.456 0.456 0.085
0.544 0.544 0.915
0.764 0.764 0.276
0.000 0.000 0.500
0.149 0.149 0.941
0.286 0.286 0.590
0.367 0.367 0.864
0.376 0.376 0.284
0.624 0.624 0.716
0.633 0.633 0.136
0.714 0.714 0.410
0.851 0.851 0.059
```

The 12 most intense peaks (2θ = 15–90°), by angle:
15.8 deg, rel. 38; 22.9 deg, rel. 40; 25.5 deg, rel. 43; 26.4 deg, rel. 64; 27.4 deg, rel. 85; 28.5 deg, rel. 47; 31.3 deg, rel. 86; 33.8 deg, rel. 37; 37.1 deg, rel. 56; 38.9 deg, rel. 33; 43.4 deg, rel. 34; 44.6 deg, rel. 100


[3]
Simulated powder diffraction line list
Compound: LiHoMg2Au4
Radiation: Cu Kα (weighted mean of Kα1 and Kα2)
Structure: DFT lattice parameters and positions (GGA-PBE)
No peak broadening, texture or thermal motion is included.

Structure:
```
LiHoMg2Au4
1.0
4.763 0.000 0.000
0.000 4.763 0.000
0.000 0.000 6.689
Li Ho Mg Au
1 1 2 4
Direct
0.000 0.000 0.000
0.500 0.500 0.500
0.000 0.000 0.500
0.500 0.500 0.000
0.000 0.500 0.232
0.000 0.500 0.768
0.500 0.000 0.232
0.500 0.000 0.768
```

The 12 most intense peaks (2θ = 15–90°), by angle:
26.5 deg, rel. 42; 26.7 deg, rel. 19; 29.7 deg, rel. 12; 37.8 deg, rel. 52; 37.9 deg, rel. 100; 46.8 deg, rel. 17; 54.5 deg, rel. 18; 54.9 deg, rel. 8; 61.6 deg, rel. 16; 68.3 deg, rel. 36; 68.6 deg, rel. 16; 81.0 deg, rel. 10


[4]
Simulated powder diffraction line list
Compound: HoMgTeAuS2
Radiation: Cu Kα (weighted mean of Kα1 and Kα2)
Structure: DFT lattice parameters and positions (GGA-PBE)
No peak broadening, texture or thermal motion is included.

Structure:
```
HoMgTeAuS2
1.0
1.967 -6.506 0.000
1.967 6.506 0.000
0.000 0.000 11.373
Ho Mg Te Au S
2 2 2 2 4
Direct
0.000 0.000 0.000
0.000 0.000 0.500
0.229 0.771 0.750
0.771 0.229 0.250
0.110 0.890 0.250
0.890 0.110 0.750
0.426 0.574 0.250
0.574 0.426 0.750
0.363 0.637 0.053
0.363 0.637 0.447
0.637 0.363 0.553
0.637 0.363 0.947
```

The 12 most intense peaks (2θ = 15–90°), by angle:
24.9 deg, rel. 31; 28.4 deg, rel. 37; 31.5 deg, rel. 47; 31.7 deg, rel. 100; 34.4 deg, rel. 21; 34.6 deg, rel. 51; 39.0 deg, rel. 34; 44.7 deg, rel. 33; 46.1 deg, rel. 20; 48.3 deg, rel. 17; 50.9 deg, rel. 23; 56.9 deg, rel. 18


[5]
Simulated powder diffraction line list
Compound: HoTmMg2Au4
Radiation: Cu Kα (weighted mean of Kα1 and Kα2)
Structure: DFT lattice parameters and positions (GGA-PBE)
No peak broadening, texture or thermal motion is included.

Structure:
```
HoTmMg2Au4
1.0
4.892 0.000 0.000
0.000 6.774 0.000
0.000 0.000 4.898
Ho Tm Mg Au
1 1 2 4
Direct
0.000 0.000 0.000
0.500 0.500 0.481
0.000 0.500 0.993
0.500 0.000 0.489
0.000 0.252 0.500
0.000 0.748 0.500
0.500 0.254 0.980
0.500 0.746 0.980
```

The 12 most intense peaks (2θ = 15–90°), by angle:
22.4 deg, rel. 20; 25.7 deg, rel. 15; 26.3 deg, rel. 7; 36.7 deg, rel. 51; 37.1 deg, rel. 100; 52.9 deg, rel. 18; 54.2 deg, rel. 9; 66.4 deg, rel. 37; 67.2 deg, rel. 18; 79.1 deg, rel. 11; 89.5 deg, rel. 9; 89.8 deg, rel. 9


[6]
Simulated powder diffraction line list
Compound: Ho3AuN6
Radiation: Cu Kα (weighted mean of Kα1 and Kα2)
Structure: DFT lattice parameters and positions (GGA-PBE)
No peak broadening, texture or thermal motion is included.

Structure:
```
Ho3AuN6
1.0
3.731 0.000 0.000
-0.837 5.617 0.000
-1.031 -1.280 6.313
Ho Au N
3 1 6
Direct
0.000 0.000 0.000
0.281 0.499 0.711
0.719 0.501 0.289
0.500 0.000 0.500
0.202 0.272 0.355
0.258 0.739 0.203
0.456 0.750 0.054
0.544 0.250 0.946
0.742 0.261 0.797
0.798 0.728 0.645
```

The 12 most intense peaks (2θ = 15–90°), by angle:
29.7 deg, rel. 83; 29.8 deg, rel. 85; 30.7 deg, rel. 80; 31.5 deg, rel. 100; 32.5 deg, rel. 68; 35.5 deg, rel. 75; 39.4 deg, rel. 66; 50.1 deg, rel. 29; 50.7 deg, rel. 31; 52.5 deg, rel. 23; 52.7 deg, rel. 23; 58.5 deg, rel. 24


[7]
Simulated powder diffraction line list
Compound: HoAu2O4
Radiation: Cu Kα (weighted mean of Kα1 and Kα2)
Structure: DFT lattice parameters and positions (GGA-PBE)
No peak broadening, texture or thermal motion is included.

Structure:
```
HoAu2O4
1.0
4.132 -5.010 0.000
4.132 5.010 0.000
-4.062 0.000 4.299
Ho Au O
2 4 8
Direct
0.125 0.875 0.750
0.875 0.125 0.250
0.000 0.500 0.000
0.500 0.000 0.500
0.500 0.500 0.000
0.500 0.500 0.500
0.105 0.246 0.076
0.142 0.511 0.758
0.246 0.105 0.576
0.489 0.858 0.742
0.511 0.142 0.258
0.754 0.895 0.424
0.858 0.489 0.242
0.895 0.754 0.924
```

The 12 most intense peaks (2θ = 15–90°), by angle:
27.3 deg, rel. 19; 28.0 deg, rel. 18; 30.6 deg, rel. 54; 30.7 deg, rel. 53; 34.1 deg, rel. 56; 34.5 deg, rel. 36; 34.8 deg, rel. 72; 35.2 deg, rel. 100; 35.5 deg, rel. 52; 47.9 deg, rel. 41; 56.4 deg, rel. 36; 57.9 deg, rel. 34


[8]
Simulated powder diffraction line list
Compound: HoPd4Au3O12
Radiation: Cu Kα (weighted mean of Kα1 and Kα2)
Structure: DFT lattice parameters and positions (GGA-PBE)
No peak broadening, texture or thermal motion is included.

Structure:
```
HoPd4Au3O12
1.0
-3.862 3.862 3.862
3.862 -3.862 3.862
3.862 3.862 -3.862
Ho Pd Au O
1 4 3 12
Direct
0.000 0.000 0.000
0.000 0.000 0.500
0.000 0.500 0.000
0.500 0.000 0.000
0.500 0.500 0.500
0.000 0.500 0.500
0.500 0.000 0.500
0.500 0.500 0.000
0.128 0.292 0.837
0.163 0.455 0.292
0.163 0.872 0.708
0.292 0.163 0.455
0.292 0.837 0.128
0.455 0.292 0.163
0.545 0.708 0.837
0.708 0.163 0.872
0.708 0.837 0.545
0.837 0.128 0.292
0.837 0.545 0.708
0.872 0.708 0.163
```

The 12 most intense peaks (2θ = 15–90°), by angle:
23.0 deg, rel. 8; 28.3 deg, rel. 1; 32.8 deg, rel. 100; 40.5 deg, rel. 5; 47.1 deg, rel. 22; 53.0 deg, rel. 4; 58.5 deg, rel. 45; 68.7 deg, rel. 13; 73.6 deg, rel. 3; 78.3 deg, rel. 18; 82.9 deg, rel. 1; 87.5 deg, rel. 4


[9]
Simulated powder diffraction line list
Compound: YHoAu2O4
Radiation: Cu Kα (weighted mean of Kα1 and Kα2)
Structure: DFT lattice parameters and positions (GGA-PBE)
No peak broadening, texture or thermal motion is included.

Structure:
```
YHoAu2O4
1.0
3.537 0.000 0.000
-1.768 3.063 0.000
0.000 0.000 12.140
Y Ho Au O
1 1 2 4
Direct
0.000 0.000 0.000
0.000 0.000 0.500
0.333 0.667 0.749
0.667 0.333 0.251
0.333 0.667 0.581
0.333 0.667 0.917
0.667 0.333 0.083
0.667 0.333 0.419
```

The 12 most intense peaks (2θ = 15–90°), by angle:
29.4 deg, rel. 44; 30.1 deg, rel. 95; 32.7 deg, rel. 100; 36.8 deg, rel. 34; 47.8 deg, rel. 27; 51.7 deg, rel. 37; 54.3 deg, rel. 29; 60.6 deg, rel. 36; 61.0 deg, rel. 18; 62.5 deg, rel. 16; 84.0 deg, rel. 25; 85.4 deg, rel. 14


[10]
Simulated powder diffraction line list
Compound: HoPbAuSe3
Radiation: Cu Kα (weighted mean of Kα1 and Kα2)
Structure: DFT lattice parameters and positions (GGA-PBE)
No peak broadening, texture or thermal motion is included.

Structure:
```
HoPbAuSe3
1.0
7.889 0.000 0.000
0.000 4.104 0.000
-2.926 0.000 9.651
Ho Pb Au Se
2 2 2 6
Direct
0.192 0.250 0.167
0.808 0.750 0.833
0.237 0.750 0.706
0.763 0.250 0.294
0.384 0.750 0.407
0.616 0.250 0.593
0.076 0.250 0.870
0.193 0.250 0.458
0.447 0.750 0.166
0.553 0.250 0.834
0.807 0.750 0.542
0.924 0.750 0.130
```

The 12 most intense peaks (2θ = 15–90°), by angle:
23.6 deg, rel. 36; 25.4 deg, rel. 32; 27.6 deg, rel. 66; 28.8 deg, rel. 27; 31.6 deg, rel. 43; 32.2 deg, rel. 69; 34.7 deg, rel. 72; 35.5 deg, rel. 100; 35.6 deg, rel. 30; 42.5 deg, rel. 27; 44.1 deg, rel. 65; 51.6 deg, rel. 24


[11]
Simulated powder diffraction line list
Compound: HoTmPb2Au2
Radiation: Cu Kα (weighted mean of Kα1 and Kα2)
Structure: DFT lattice parameters and positions (GGA-PBE)
No peak broadening, texture or thermal motion is included.

Structure:
```
HoTmPb2Au2
1.0
4.769 0.000 0.000
-2.385 4.130 0.000
0.000 0.000 7.529
Ho Tm Pb Au
1 1 2 2
Direct
0.000 0.000 0.000
0.000 0.000 0.501
0.333 0.667 0.771
0.667 0.333 0.272
0.333 0.667 0.163
0.667 0.333 0.661
```

The 12 most intense peaks (2θ = 15–90°), by angle:
24.6 deg, rel. 25; 32.2 deg, rel. 93; 37.7 deg, rel. 100; 42.1 deg, rel. 41; 45.0 deg, rel. 12; 50.4 deg, rel. 27; 57.8 deg, rel. 16; 64.6 deg, rel. 26; 66.0 deg, rel. 15; 68.1 deg, rel. 18; 71.1 deg, rel. 18; 80.6 deg, rel. 12


[12]
Simulated powder diffraction line list
Compound: Ho4Au2Se
Radiation: Cu Kα (weighted mean of Kα1 and Kα2)
Structure: DFT lattice parameters and positions (GGA-PBE)
No peak broadening, texture or thermal motion is included.

Structure:
```
Ho4Au2Se
1.0
4.032 0.000 0.000
-2.016 3.492 0.000
0.000 0.000 15.016
Ho Au Se
4 2 1
Direct
0.000 0.000 0.000
0.000 0.000 0.482
0.333 0.667 0.293
0.333 0.667 0.777
0.333 0.667 0.586
0.667 0.333 0.889
0.000 0.000 0.185
```

The 12 most intense peaks (2θ = 15–90°), by angle:
17.7 deg, rel. 21; 25.5 deg, rel. 20; 26.2 deg, rel. 61; 28.2 deg, rel. 82; 35.1 deg, rel. 100; 39.6 deg, rel. 23; 44.5 deg, rel. 56; 45.0 deg, rel. 70; 58.3 deg, rel. 23; 76.5 deg, rel. 21; 79.6 deg, rel. 22; 82.7 deg, rel. 19